Entry 1:
Starting from the GGA-PBE geometry in the Materials Project, the powder XRD pattern of BaBAsO5 was calculated for λ = 1.5418 Å (Cu Kα).
No peak broadening, texture or thermal motion is included.

Main lines, by angle (2θ = 10–80°):
| 2θ/deg | intensity |
| --- | --- |
| 23.92 | 100 |
| 27.69 | 28 |
| 28.39 | 84 |
| 36.91 | 14 |
| 37.46 | 35 |
| 39.04 | 13 |
| 42.07 | 12 |
| 44.94 | 60 |
| 51.11 | 15 |
| 52.79 | 13 |
| 64.35 | 19 |
| 72.12 | 12 |

Atomic structure:
Cell lengths 7.440, 7.440, 7.202 Å; angles 90.00, 90.00, 120.00 degrees
Positions (direct):
Ba: 0.000 0.610 0.167
Ba: 0.390 0.390 0.500
Ba: 0.610 0.000 0.833
B: 0.000 0.096 0.167
B: 0.096 0.000 0.833
B: 0.904 0.904 0.500
As: 0.000 0.606 0.667
As: 0.394 0.394 0.000
As: 0.606 0.000 0.333
O: 0.000 0.026 0.667
O: 0.026 0.000 0.333
O: 0.144 0.823 0.812
O: 0.151 0.567 0.517
O: 0.177 0.321 0.146
O: 0.321 0.177 0.854
O: 0.416 0.849 0.184
O: 0.433 0.584 0.851
O: 0.567 0.151 0.483
O: 0.584 0.433 0.149
O: 0.679 0.856 0.479
O: 0.823 0.144 0.188
O: 0.849 0.416 0.816
O: 0.856 0.679 0.521
O: 0.974 0.974 0.000



Entry 2:
Starting from the GGA-PBE geometry in the Materials Project, the powder XRD pattern of Na2BiBAsO7 was calculated for λ = 1.5418 Å (Cu Kα).
No peak broadening, texture or thermal motion is included.

Main lines, by angle (2θ = 10–80°):
| 2θ/deg | intensity |
| --- | --- |
| 15.29 | 90 |
| 18.33 | 80 |
| 20.20 | 59 |
| 24.24 | 70 |
| 24.59 | 93 |
| 24.69 | 100 |
| 26.29 | 56 |
| 30.85 | 66 |
| 31.03 | 45 |
| 32.39 | 72 |
| 34.79 | 44 |
| 45.13 | 39 |

Atomic structure:
Cell lengths 5.533, 7.241, 9.661 Å; angles 90.00, 91.07, 90.00 degrees
Positions (direct):
Na: 0.239 0.000 0.207
Na: 0.239 0.500 0.207
Na: 0.761 0.000 0.793
Na: 0.761 0.500 0.793
Bi: 0.212 0.250 0.638
Bi: 0.788 0.750 0.362
B: 0.260 0.250 0.918
B: 0.740 0.750 0.082
As: 0.271 0.750 0.598
As: 0.729 0.250 0.402
O: 0.040 0.250 0.847
O: 0.145 0.561 0.676
O: 0.145 0.939 0.676
O: 0.191 0.750 0.421
O: 0.292 0.250 0.057
O: 0.420 0.250 0.390
O: 0.470 0.250 0.840
O: 0.530 0.750 0.160
O: 0.580 0.750 0.610
O: 0.708 0.750 0.943
O: 0.809 0.250 0.579
O: 0.855 0.061 0.324
O: 0.855 0.439 0.324
O: 0.960 0.750 0.153